(1)
Structure and theoretical XRD peak list of Al5V5Ga (a DFT-relaxed cell (GGA-PBE, Alexandria); λ = 1.5418 Å (Cu Kα)).
Kinematic intensities with the Lorentz-polarization factor, no thermal factor.

Lattice parameters (Å, degrees): 6.529 6.529 7.345 118.55 118.55 41.98
Fractional coordinates of all 11 atoms:
Al 0.000 0.000 0.000
Al 0.297 0.297 0.632
Al 0.420 0.420 0.080
Al 0.580 0.580 0.920
Al 0.703 0.703 0.368
V 0.173 0.173 0.868
V 0.271 0.271 0.243
V 0.500 0.500 0.500
V 0.729 0.729 0.757
V 0.827 0.827 0.132
Ga 0.000 0.000 0.500

Main lines, by intensity (15 to 90 degrees two-theta):
| 2theta | d_spacing | I/Imax |
| --- | --- | --- |
| 15.50 | 5.717 | 100 |
| 38.49 | 2.339 | 72 |
| 41.80 | 2.161 | 58 |
| 40.22 | 2.242 | 56 |
| 56.89 | 1.619 | 36 |
| 42.52 | 2.126 | 36 |


(2)
Structure and theoretical XRD peak list of La2Nd9Ho (a DFT-relaxed cell (GGA-PBE, Alexandria); λ = 1.5418 Å (Cu Kα)).
Kinematic intensities with the Lorentz-polarization factor, no thermal factor.

Lattice parameters (Å, degrees): 5.201 5.201 15.618 90.00 90.00 90.00
Fractional coordinates of all 12 atoms:
La 0.000 0.000 0.168
La 0.000 0.000 0.832
Nd 0.000 0.500 0.000
Nd 0.000 0.500 0.337
Nd 0.000 0.500 0.663
Nd 0.500 0.000 0.000
Nd 0.500 0.000 0.337
Nd 0.500 0.000 0.663
Nd 0.500 0.500 0.169
Nd 0.500 0.500 0.500
Nd 0.500 0.500 0.831
Ho 0.000 0.000 0.500

Main lines, by intensity (15 to 90 degrees two-theta):
| 2theta | d_spacing | I/Imax |
| --- | --- | --- |
| 29.74 | 3.004 | 100 |
| 34.48 | 2.601 | 51 |
| 58.87 | 1.569 | 43 |
| 49.55 | 1.839 | 36 |
| 80.46 | 1.194 | 17 |
| 83.00 | 1.163 | 16 |


(3)
Structure and theoretical XRD peak list of Nb3InCu (a DFT-relaxed cell (GGA-PBE, Alexandria); λ = 1.5418 Å (Cu Kα)).
Kinematic intensities with the Lorentz-polarization factor, no thermal factor.

Lattice parameters (Å, degrees): 7.354 7.354 7.354 158.28 141.61 44.54
Fractional coordinates of all 5 atoms:
Nb 0.000 0.000 0.000
Nb 0.409 0.409 0.000
Nb 0.606 0.106 0.500
In 0.207 0.707 0.500
Cu 0.812 0.312 0.500

Main lines, by intensity (15 to 90 degrees two-theta):
| 2theta | d_spacing | I/Imax |
| --- | --- | --- |
| 37.93 | 2.372 | 100 |
| 39.77 | 2.267 | 83 |
| 37.19 | 2.418 | 54 |
| 38.05 | 2.365 | 46 |
| 67.49 | 1.388 | 33 |
| 54.26 | 1.691 | 32 |


(4)
Structure and theoretical XRD peak list of YGa4Cu12 (a DFT-relaxed cell (GGA-PBE, Alexandria); λ = 1.5418 Å (Cu Kα)).
Kinematic intensities with the Lorentz-polarization factor, no thermal factor.

Lattice parameters (Å, degrees): 7.147 7.147 7.147 109.47 109.47 109.47
Fractional coordinates of all 17 atoms:
Y 0.000 0.000 0.000
Ga 0.000 0.000 0.500
Ga 0.000 0.500 0.000
Ga 0.500 0.000 0.000
Ga 0.500 0.500 0.500
Cu 0.147 0.502 0.355
Cu 0.147 0.793 0.645
Cu 0.207 0.355 0.853
Cu 0.355 0.147 0.502
Cu 0.355 0.853 0.207
Cu 0.498 0.645 0.853
Cu 0.502 0.355 0.147
Cu 0.645 0.147 0.793
Cu 0.645 0.853 0.498
Cu 0.793 0.645 0.147
Cu 0.853 0.207 0.355
Cu 0.853 0.498 0.645

Main lines, by intensity (15 to 90 degrees two-theta):
| 2theta | d_spacing | I/Imax |
| --- | --- | --- |
| 34.36 | 2.610 | 100 |
| 56.89 | 1.619 | 40 |
| 40.92 | 2.206 | 36 |
| 54.47 | 1.685 | 30 |
| 49.39 | 1.845 | 29 |
| 30.64 | 2.918 | 19 |


(5)
Structure and theoretical XRD peak list of Rb3HoTa2O8 (a DFT-relaxed cell (GGA-PBE, Alexandria); λ = 1.5418 Å (Cu Kα)).
Kinematic intensities with the Lorentz-polarization factor, no thermal factor.

Lattice parameters (Å, degrees): 6.260 6.260 8.061 90.00 90.00 120.00
Fractional coordinates of all 14 atoms:
Rb 0.000 0.000 0.000
Rb 0.333 0.667 0.696
Rb 0.667 0.333 0.304
Ho 0.000 0.000 0.500
Ta 0.333 0.667 0.254
Ta 0.667 0.333 0.746
O 0.170 0.339 0.334
O 0.170 0.830 0.334
O 0.333 0.667 0.028
O 0.339 0.170 0.666
O 0.661 0.830 0.334
O 0.667 0.333 0.972
O 0.830 0.170 0.666
O 0.830 0.661 0.666

Main lines, by intensity (15 to 90 degrees two-theta):
| 2theta | d_spacing | I/Imax |
| --- | --- | --- |
| 28.52 | 3.130 | 100 |
| 27.58 | 3.235 | 81 |
| 40.09 | 2.249 | 37 |
| 19.73 | 4.499 | 36 |
| 49.93 | 1.827 | 32 |
| 54.13 | 1.694 | 25 |


(6)
Structure and theoretical XRD peak list of Sc6Ga5Sb (a DFT-relaxed cell (GGA-PBE, Alexandria); λ = 1.5418 Å (Cu Kα)).
Kinematic intensities with the Lorentz-polarization factor, no thermal factor.

Lattice parameters (Å, degrees): 7.016 7.016 8.005 90.00 90.00 143.32
Fractional coordinates of all 12 atoms:
Sc 0.000 0.000 0.241
Sc 0.000 0.000 0.759
Sc 0.332 0.668 0.242
Sc 0.332 0.668 0.758
Sc 0.668 0.332 0.242
Sc 0.668 0.332 0.758
Ga 0.166 0.834 0.000
Ga 0.177 0.823 0.500
Ga 0.500 0.500 0.000
Ga 0.823 0.177 0.500
Ga 0.834 0.166 0.000
Sb 0.500 0.500 0.500

Main lines, by intensity (15 to 90 degrees two-theta):
| 2theta | d_spacing | I/Imax |
| --- | --- | --- |
| 36.44 | 2.466 | 100 |
| 40.87 | 2.208 | 18 |
| 40.64 | 2.220 | 18 |
| 45.32 | 2.001 | 13 |
| 71.53 | 1.319 | 13 |
| 71.21 | 1.324 | 12 |


(7)
Structure and theoretical XRD peak list of CsTl11 (a DFT-relaxed cell (GGA-PBE, Alexandria); λ = 1.5418 Å (Cu Kα)).
Kinematic intensities with the Lorentz-polarization factor, no thermal factor.

Lattice parameters (Å, degrees): 11.382 11.382 3.530 90.00 90.00 120.00
Fractional coordinates of all 12 atoms:
Cs 0.000 0.000 0.000
Tl 0.000 0.500 0.000
Tl 0.183 0.365 0.500
Tl 0.183 0.817 0.500
Tl 0.333 0.667 0.000
Tl 0.365 0.183 0.500
Tl 0.500 0.000 0.000
Tl 0.500 0.500 0.000
Tl 0.635 0.817 0.500
Tl 0.667 0.333 0.000
Tl 0.817 0.183 0.500
Tl 0.817 0.635 0.500

Main lines, by intensity (15 to 90 degrees two-theta):
| 2theta | d_spacing | I/Imax |
| --- | --- | --- |
| 31.44 | 2.845 | 100 |
| 31.17 | 2.870 | 53 |
| 35.02 | 2.562 | 33 |
| 61.86 | 1.500 | 30 |
| 29.79 | 3.000 | 23 |
| 55.80 | 1.647 | 17 |


(8)
Structure and theoretical XRD peak list of Tm8As4CS3 (a DFT-relaxed cell (GGA-PBE, Alexandria); λ = 1.5418 Å (Cu Kα)).
Kinematic intensities with the Lorentz-polarization factor, no thermal factor.

Lattice parameters (Å, degrees): 7.837 7.837 7.837 60.11 60.11 60.11
Fractional coordinates of all 16 atoms:
Tm 0.250 0.250 0.250
Tm 0.266 0.266 0.734
Tm 0.266 0.734 0.266
Tm 0.266 0.734 0.734
Tm 0.734 0.266 0.266
Tm 0.734 0.266 0.734
Tm 0.734 0.734 0.266
Tm 0.750 0.750 0.750
As 0.000 0.000 0.000
As 0.000 0.500 0.500
As 0.500 0.000 0.500
As 0.500 0.500 0.000
C 0.500 0.500 0.500
S 0.000 0.000 0.500
S 0.000 0.500 0.000
S 0.500 0.000 0.000

Main lines, by intensity (15 to 90 degrees two-theta):
| 2theta | d_spacing | I/Imax |
| --- | --- | --- |
| 32.28 | 2.773 | 100 |
| 46.30 | 1.961 | 71 |
| 27.86 | 3.202 | 52 |
| 57.53 | 1.602 | 18 |
| 54.88 | 1.673 | 17 |
| 85.78 | 1.133 | 16 |


(9)
Structure and theoretical XRD peak list of InPd7Au3 (a DFT-relaxed cell (GGA-PBE, Alexandria); λ = 1.5418 Å (Cu Kα)).
Kinematic intensities with the Lorentz-polarization factor, no thermal factor.

Lattice parameters (Å, degrees): 6.593 6.593 5.120 107.39 107.39 91.20
Fractional coordinates of all 11 atoms:
In 0.000 0.000 0.000
Pd 0.000 0.000 0.500
Pd 0.085 0.574 0.830
Pd 0.287 0.287 0.447
Pd 0.426 0.915 0.170
Pd 0.574 0.085 0.830
Pd 0.713 0.713 0.553
Pd 0.915 0.426 0.170
Au 0.285 0.715 0.500
Au 0.500 0.500 0.000
Au 0.715 0.285 0.500

Main lines, by intensity (15 to 90 degrees two-theta):
| 2theta | d_spacing | I/Imax |
| --- | --- | --- |
| 39.65 | 2.273 | 100 |
| 38.21 | 2.355 | 66 |
| 35.41 | 2.535 | 63 |
| 43.71 | 2.071 | 45 |
| 28.93 | 3.086 | 41 |
| 53.08 | 1.725 | 32 |


(10)
Structure and theoretical XRD peak list of DySi4Au12 (a DFT-relaxed cell (GGA-PBE, Alexandria); λ = 1.5418 Å (Cu Kα)).
Kinematic intensities with the Lorentz-polarization factor, no thermal factor.

Lattice parameters (Å, degrees): 7.638 7.638 7.638 109.47 109.47 109.47
Fractional coordinates of all 17 atoms:
Dy 0.000 0.000 0.000
Si 0.000 0.000 0.500
Si 0.000 0.500 0.000
Si 0.500 0.000 0.000
Si 0.500 0.500 0.500
Au 0.159 0.497 0.337
Au 0.159 0.822 0.663
Au 0.178 0.337 0.841
Au 0.337 0.159 0.497
Au 0.337 0.841 0.178
Au 0.497 0.337 0.159
Au 0.503 0.663 0.841
Au 0.663 0.159 0.822
Au 0.663 0.841 0.503
Au 0.822 0.663 0.159
Au 0.841 0.178 0.337
Au 0.841 0.503 0.663

Main lines, by intensity (15 to 90 degrees two-theta):
| 2theta | d_spacing | I/Imax |
| --- | --- | --- |
| 32.09 | 2.789 | 100 |
| 38.18 | 2.357 | 44 |
| 52.94 | 1.730 | 25 |
| 72.72 | 1.300 | 19 |
| 63.27 | 1.470 | 17 |
| 61.29 | 1.513 | 16 |


(11)
Structure and theoretical XRD peak list of LiYP4O12 (a DFT-relaxed cell (GGA-PBE, Alexandria); λ = 1.5418 Å (Cu Kα)).
Kinematic intensities with the Lorentz-polarization factor, no thermal factor.

Lattice parameters (Å, degrees): 8.969 8.969 9.716 122.70 122.70 46.90
Fractional coordinates of all 36 atoms:
Li 0.206 0.794 0.750
Li 0.794 0.206 0.250
Y 0.294 0.706 0.250
Y 0.706 0.294 0.750
P 0.086 0.188 0.616
P 0.188 0.086 0.116
P 0.205 0.504 0.806
P 0.496 0.795 0.694
P 0.504 0.205 0.306
P 0.795 0.496 0.194
P 0.812 0.914 0.884
P 0.914 0.812 0.384
O 0.028 0.283 0.232
O 0.062 0.072 0.429
O 0.072 0.062 0.929
O 0.099 0.676 0.315
O 0.167 0.324 0.653
O 0.260 0.491 0.977
O 0.283 0.028 0.732
O 0.324 0.167 0.153
O 0.324 0.901 0.185
O 0.346 0.511 0.774
O 0.489 0.654 0.726
O 0.491 0.260 0.477
O 0.509 0.740 0.523
O 0.511 0.346 0.274
O 0.654 0.489 0.226
O 0.676 0.099 0.815
O 0.676 0.833 0.847
O 0.717 0.972 0.268
O 0.740 0.509 0.023
O 0.833 0.676 0.347
O 0.901 0.324 0.685
O 0.928 0.938 0.071
O 0.938 0.928 0.571
O 0.972 0.717 0.768

Main lines, by intensity (15 to 90 degrees two-theta):
| 2theta | d_spacing | I/Imax |
| --- | --- | --- |
| 20.42 | 4.349 | 100 |
| 22.66 | 3.924 | 86 |
| 32.64 | 2.743 | 71 |
| 27.46 | 3.248 | 61 |
| 23.12 | 3.846 | 35 |
| 31.07 | 2.878 | 34 |


(12)
Structure and theoretical XRD peak list of TbDy2Ho2Tm (a DFT-relaxed cell (GGA-PBE, Alexandria); λ = 1.5418 Å (Cu Kα)).
Kinematic intensities with the Lorentz-polarization factor, no thermal factor.

Lattice parameters (Å, degrees): 6.517 17.536 3.345 90.00 90.00 90.00
Fractional coordinates of all 12 atoms:
Tb 0.000 0.000 0.000
Tb 0.500 0.500 0.500
Dy 0.233 0.317 0.000
Dy 0.267 0.817 0.500
Dy 0.733 0.183 0.500
Dy 0.767 0.683 0.000
Ho 0.231 0.148 0.500
Ho 0.269 0.648 0.000
Ho 0.731 0.352 0.000
Ho 0.769 0.852 0.500
Tm 0.000 0.500 0.000
Tm 0.500 0.000 0.500

Main lines, by intensity (15 to 90 degrees two-theta):
| 2theta | d_spacing | I/Imax |
| --- | --- | --- |
| 29.24 | 3.055 | 100 |
| 30.80 | 2.903 | 81 |
| 30.59 | 2.923 | 80 |
| 41.67 | 2.168 | 73 |
| 34.29 | 2.615 | 67 |
| 31.76 | 2.818 | 41 |